For Sr4N2O, a structure optimized by DFT (PBE) gives the simulated PXRD pattern in this record (a wavelength of 1.5418 Å).
Intensities are scaled so that the largest is 100.

Most intense lines, 10 to 90 degrees two-theta, in order of falling intensity:
Position (°2θ)	I_rel
32.08	100
32.93	87
28.69	49
35.25	48
28.50	40
59.43	39
48.88	34
48.59	20
25.82	19
52.81	17

Structural model:
```
Sr4N2O
1.0
1.874 -6.263 0.000
1.874 6.263 0.000
0.000 0.000 12.465
Sr N O
8 4 2
direct
0.000 0.000 0.000
0.000 0.000 0.500
0.271 0.729 0.614
0.271 0.729 0.886
0.470 0.530 0.250
0.530 0.470 0.750
0.729 0.271 0.114
0.729 0.271 0.386
0.364 0.636 0.071
0.364 0.636 0.429
0.636 0.364 0.571
0.636 0.364 0.929
0.102 0.898 0.250
0.898 0.102 0.750
```